# Li3Fe3TeO8
Computed powder diffraction line list, Cu Kα. Input: a structure optimized by DFT (PBE+U).
Kinematic intensities with the Lorentz-polarization factor, no thermal factor.

Structural model:
Lattice parameters (Å, degrees): 6.1410 6.1410 14.9105 90.00 90.00 120.00
Space group R-3m (No. 166, hexagonal axes)
Inequivalent atoms, fractional coordinates:
Li (0.0000, 0.5000, 0.0000) x9
Fe (0.0000, 0.5000, 0.5000) x9
Te (0.0000, 0.0000, 0.5000) x3
O (0.0000, 0.0000, 0.2381) x6
O (0.0281, 0.5140, 0.2420) x18

Principal peaks in the range 10 to 90 degrees two-theta, in order of falling intensity:
| Position (°2θ) | intensity |
| --- | --- |
| 17.8 | 100 |
| 41.7 | 65 |
| 34.3 | 53 |
| 17.7 | 20 |
| 60.3 | 19 |
| 35.9 | 19 |
| 63.4 | 18 |
| 60.7 | 18 |

# Li2Fe3TeO8
Computed powder diffraction line list, Cu Kα. Input: a structure optimized by DFT (PBE+U).
Kinematic intensities with the Lorentz-polarization factor, no thermal factor.

Structural model:
Lattice parameters (Å, degrees): 6.0818 6.1353 8.6947 91.83 90.07 90.02
Space group P-1 (No. 2)
Inequivalent atoms, fractional coordinates:
Li (0.2499, 0.0262, 0.1083) x2
Li (0.2504, 0.4732, 0.3918) x2
Fe (0.0000, 0.0000, 0.5000) x1
Fe (0.0000, 0.5000, 0.0000) x1
Fe (0.2472, 0.2489, 0.7504) x2
Fe (0.5000, 0.0000, 0.5000) x1
Fe (0.5000, 0.5000, 0.0000) x1
Te (0.2555, 0.7492, 0.7497) x2
O (0.0343, 0.5165, 0.7464) x2
O (0.0345, 0.9827, 0.7528) x2
O (0.2586, 0.2857, 0.9758) x2
O (0.2598, 0.2127, 0.5237) x2
O (0.2623, 0.7436, 0.9753) x2
O (0.2621, 0.7549, 0.5247) x2
O (0.4798, 0.5143, 0.7569) x2
O (0.4796, 0.9848, 0.7437) x2

Principal peaks in the range 10 to 90 degrees two-theta, in order of falling intensity:
| Position (°2θ) | intensity |
| --- | --- |
| 17.8 | 100 |
| 18.0 | 46 |
| 41.8 | 45 |
| 34.3 | 30 |
| 41.6 | 23 |
| 34.1 | 19 |
| 34.6 | 17 |
| 59.7 | 14 |

Repeat the first record exactly.
# Li3Fe3TeO8
Computed powder diffraction line list, Cu Kα. Input: a structure optimized by DFT (PBE+U).
Kinematic intensities with the Lorentz-polarization factor, no thermal factor.

Structural model:
Lattice parameters (Å, degrees): 6.1410 6.1410 14.9105 90.00 90.00 120.00
Space group R-3m (No. 166, hexagonal axes)
Inequivalent atoms, fractional coordinates:
Li (0.0000, 0.5000, 0.0000) x9
Fe (0.0000, 0.5000, 0.5000) x9
Te (0.0000, 0.0000, 0.5000) x3
O (0.0000, 0.0000, 0.2381) x6
O (0.0281, 0.5140, 0.2420) x18

Principal peaks in the range 10 to 90 degrees two-theta, in order of falling intensity:
| Position (°2θ) | intensity |
| --- | --- |
| 17.8 | 100 |
| 41.7 | 65 |
| 34.3 | 53 |
| 17.7 | 20 |
| 60.3 | 19 |
| 35.9 | 19 |
| 63.4 | 18 |
| 60.7 | 18 |